This entry pairs a crystal structure of NdIrSe with its calculated powder diffraction line list. Radiation: Cu Kα, 1.54184 Å. Structure: a cell relaxed with PBE.
Kinematic intensities with the Lorentz-polarization factor, no thermal factor.

Principal peaks in the range 15° ≤ 2θ ≤ 90°, in order of falling intensity:
| 2theta | I/Imax |
| --- | --- |
| 36.80 | 100.0 |
| 36.30 | 59.1 |
| 26.79 | 53.0 |
| 46.51 | 36.2 |
| 61.40 | 25.8 |
| 47.71 | 18.0 |
| 26.13 | 17.2 |
| 71.30 | 15.4 |

Cell and atoms:
abc: 10.788 3.907 3.907
angles: 58.40 90.00 90.00
Element x y z (fractional)
Nd: 0.171 0.000 0.000
Nd: 0.829 0.000 0.000
Ir: 0.000 0.670 0.670
Ir: 0.500 0.968 0.968
Se: 0.365 0.667 0.667
Se: 0.635 0.667 0.667